Entry 1:
Simulated powder diffraction line list
Compound: CaSn2O4
Radiation: λ = 1.5418 Å (Cu Kα)
Structure: a cell relaxed with GGA-PBE
Lines closer than 0.1° are merged.

Structural model:
Cell: 11.4513 3.2369 10.8582 Å, 90.00 90.00 90.00°
Space group Pca2_1 (No. 29)
One atom of each set of equivalent atoms:
Ca: 0.1431 0.2375 0.0000 [4 per cell]
Sn: 0.1094 0.7396 0.3311 [4 per cell]
Sn: 0.1199 0.7461 0.6774 [4 per cell]
O: 0.0007 0.7557 0.1252 [4 per cell]
O: 0.0423 0.7450 0.8587 [4 per cell]
O: 0.2123 0.7394 0.5133 [4 per cell]
O: 0.2224 0.2453 0.7392 [4 per cell]

Most intense lines, 5 to 70 degrees two-theta, low angle first:
| hkl | two_theta | I_rel |
| --- | --- | --- |
| 0 0 2 | 16.33 | 262 |
| 2 0 1 | 17.51 | 256 |
| 1 1 0 | 28.66 | 253 |
| 2 0 3 | 29.19 | 1000 |
| 1 1 1 | 29.84 | 228 |
| 4 0 0 | 31.24 | 294 |
| 3 1 0 | 36.39 | 308 |
| 3 1 1 | 37.35 | 248 |
| 1 1 3 | 38.12 | 223 |
| 3 1 2 | 40.13 | 330 |
| 5 1 3 | 55.30 | 264 |
| 2 2 3 | 65.21 | 253 |

Entry 2:
Simulated powder diffraction line list
Compound: TiCuO4F6
Radiation: λ = 1.5418 Å (Cu Kα)
Structure: a cell relaxed with GGA-PBE
Lines closer than 0.1° are merged.

Structural model:
Cell: 5.2716 8.6730 7.0438 Å, 90.00 96.84 90.00°
Space group P2_1/c (No. 14)
One atom of each set of equivalent atoms:
Ti: 0.0000 0.0000 0.0000 [2 per cell]
Cu: 0.5000 0.0000 0.5000 [2 per cell]
O: 0.2528 0.1212 0.5763 [4 per cell]
O: 0.3768 0.6652 0.1119 [4 per cell]
F: 0.1639 0.6494 0.3640 [4 per cell]
F: 0.2169 0.5421 0.7232 [4 per cell]
F: 0.2400 0.1509 0.9295 [4 per cell]

Most intense lines, 5 to 70 degrees two-theta, low angle first:
| hkl | two_theta | I_rel |
| --- | --- | --- |
| 0 2 0 | 20.48 | 455 |
| 1 1 -1 | 22.45 | 1000 |
| 1 1 1 | 24.66 | 987 |
| 0 0 2 | 25.47 | 331 |
| 1 3 -1 | 37.08 | 481 |
| 2 2 0 | 40.25 | 127 |
| 1 1 3 | 45.68 | 440 |
| 2 2 -2 | 45.81 | 267 |
| 1 3 -3 | 51.77 | 233 |
| 2 4 0 | 55.01 | 158 |
| 2 4 -2 | 59.51 | 153 |
| 3 1 -3 | 63.59 | 150 |

Entry 3:
Simulated powder diffraction line list
Compound: LuGaO3
Radiation: λ = 1.5418 Å (Cu Kα)
Structure: a cell relaxed with GGA-PBE
Lines closer than 0.1° are merged.

Structural model:
Cell: 5.5382 7.5842 5.2081 Å, 90.00 90.00 90.00°
Space group Pnma (No. 62)
One atom of each set of equivalent atoms:
Lu: 0.0716 0.2500 0.0221 [4 per cell]
Ga: 0.0000 0.0000 0.5000 [4 per cell]
O: 0.0488 0.7500 0.3755 [4 per cell]
O: 0.1933 0.5633 0.8097 [8 per cell]

Most intense lines, 5 to 70 degrees two-theta, low angle first:
| hkl | two_theta | I_rel |
| --- | --- | --- |
| 0 2 0 | 23.45 | 254 |
| 1 1 1 | 26.26 | 220 |
| 2 0 0 | 32.33 | 172 |
| 1 2 1 | 33.41 | 1000 |
| 0 0 2 | 34.46 | 374 |
| 1 3 1 | 42.99 | 85 |
| 0 4 0 | 47.97 | 285 |
| 2 1 2 | 49.53 | 135 |
| 3 1 1 | 54.07 | 209 |
| 0 4 2 | 60.39 | 115 |
| 1 2 3 | 61.05 | 260 |
| 3 3 1 | 65.08 | 94 |